For Li7Mn16O32, a GGA+U-relaxed structure gives the calculated powder X-ray diffraction pattern in this record (Cu Ka).
Peak positions follow from Bragg's law for the DFT cell and can differ from measured ones.

Atomic structure:
```
Li7Mn16O32
1.0
8.3254 0.0000 0.0000
-0.0227 8.4862 0.0000
-4.0771 -4.1720 8.3973
Li Mn O
7 16 32
direct
0.0000 0.0000 0.0000
0.1183 0.6162 0.7465
0.2444 0.7565 0.4993
0.3711 0.3706 0.2532
0.4966 0.4988 0.9917
0.6146 0.1201 0.7467
0.8628 0.8649 0.2474
0.0545 0.3055 0.3680
0.0600 0.3144 0.8721
0.1792 0.6844 0.1195
0.1802 0.1785 0.6211
0.3060 0.0496 0.3742
0.3132 0.0708 0.8840
0.4321 0.4279 0.6164
0.4423 0.9345 0.1290
0.5557 0.8085 0.8743
0.5602 0.8088 0.3725
0.6804 0.6918 0.6266
0.6834 0.1890 0.1219
0.7994 0.5528 0.8644
0.8085 0.5639 0.3724
0.9223 0.4355 0.1153
0.9341 0.9394 0.6320
0.0293 0.5534 0.3415
0.0436 0.5526 0.8832
0.0824 0.0550 0.3888
0.0828 0.0980 0.8886
0.1561 0.4472 0.1074
0.1818 0.9633 0.6473
0.1832 0.3998 0.6025
0.2087 0.9263 0.1376
0.2792 0.3113 0.8529
0.2987 0.2847 0.3810
0.3152 0.8121 0.3558
0.3368 0.8191 0.9000
0.4022 0.1643 0.6009
0.4478 0.1641 0.1205
0.4509 0.7144 0.1431
0.4545 0.6939 0.6375
0.5344 0.0315 0.3602
0.5516 0.0691 0.8942
0.5627 0.5419 0.8465
0.5747 0.5877 0.3934
0.6685 0.9523 0.1164
0.6787 0.4684 0.6352
0.6816 0.9134 0.6077
0.6924 0.4108 0.1133
0.7858 0.7850 0.8609
0.7893 0.7947 0.3767
0.8152 0.3243 0.3521
0.8267 0.3281 0.8791
0.9059 0.6501 0.0937
0.9157 0.7101 0.6309
0.9228 0.2091 0.1296
0.9586 0.1775 0.6439
```

Top 10 peaks for 5° ≤ 2θ ≤ 70°, low angle first:
d/Å	I/Imax
4.862	100
4.819	28
2.558	9
2.547	10
2.533	9
2.522	14
2.121	23
2.099	22
2.081	22
1.485	13